For CaDyInGa, a GGA-PBE-relaxed structure gives the simulated XRD peak list in this record (CuKα).
Intensities are scaled so that the largest is 100.

Crystal structure
```
data_CaDyInGa
_cell_length_a 3.6910
_cell_length_b 3.6910
_cell_length_c 7.5270
_cell_angle_alpha 90.00
_cell_angle_beta 90.00
_cell_angle_gamma 90.00
_space_group_name_H-M_alt 'P 4 m m'
_space_group_IT_number 99
loop_
_space_group_symop_operation_xyz
'x,y,z'
'-y,x,z'
'-x,-y,z'
'y,-x,z'
'-x,y,z'
'y,x,z'
'x,-y,z'
'-y,-x,z'
loop_
_atom_site_label
_atom_site_type_symbol
_atom_site_fract_x
_atom_site_fract_y
_atom_site_fract_z
_atom_site_occupancy
Ca1 Ca 0.0000 0.0000 0.0000 1
Dy1 Dy 0.0000 0.0000 0.5316 1
In1 In 0.5000 0.5000 0.2707 1
Ga1 Ga 0.5000 0.5000 0.7552 1
```

Principal peaks in the range 10 to 90 degrees two-theta, most intense first:
- 34.02 deg, 2.635 Å, I 100, (1 0 2)
- 34.36 deg, 2.610 Å, I 50, (1 1 0)
- 61.33 deg, 1.512 Å, I 35, (2 1 2)
- 11.76 deg, 7.527 Å, I 31, (0 0 1)
- 26.90 deg, 3.314 Å, I 19, (1 0 1)
- 49.38 deg, 1.846 Å, I 17, (2 0 0)
- 60.67 deg, 1.526 Å, I 17, (1 1 4)
- 71.62 deg, 1.318 Å, I 10, (2 0 4)



For Cs3GeAsSe5, a GGA-PBE-relaxed structure gives the simulated XRD peak list in this record (CuKα).
Intensities are scaled so that the largest is 100.

Crystal structure
```
data_Cs3GeAsSe5
_cell_length_a 8.0191
_cell_length_b 9.8439
_cell_length_c 20.2319
_cell_angle_alpha 90.00
_cell_angle_beta 102.63
_cell_angle_gamma 90.00
_space_group_name_H-M_alt 'P 1 21/c 1'
_space_group_IT_number 14
loop_
_space_group_symop_operation_xyz
'x,y,z'
'-x,-y,-z'
'-x,y+1/2,-z+1/2'
'x,-y+1/2,z+1/2'
loop_
_atom_site_label
_atom_site_type_symbol
_atom_site_fract_x
_atom_site_fract_y
_atom_site_fract_z
_atom_site_occupancy
Cs1 Cs 0.0812 0.2093 0.4573 1
Cs2 Cs 0.1555 0.0622 0.2357 1
Cs3 Cs 0.3822 0.7116 0.4152 1
Ge1 Ge 0.4354 0.7083 0.6304 1
As1 As 0.3275 0.0398 0.6986 1
Se1 Se 0.0593 0.1072 0.6349 1
Se2 Se 0.2619 0.5405 0.5693 1
Se3 Se 0.2846 0.1119 0.8135 1
Se4 Se 0.3060 0.7076 0.2231 1
Se5 Se 0.4954 0.5978 0.0736 1
```

Principal peaks in the range 10 to 90 degrees two-theta, most intense first:
- 24.48 deg, 3.636 Å, I 100, (2 1 0)
- 30.15 deg, 2.964 Å, I 87, (1 3 -2)
- 25.80 deg, 3.453 Å, I 87, (2 1 1)
- 29.50 deg, 3.028 Å, I 68, (1 3 -1)
- 28.99 deg, 3.081 Å, I 64, (0 2 5)
- 21.09 deg, 4.212 Å, I 62, (1 1 -4)
- 28.54 deg, 3.128 Å, I 61, (1 1 -6)
- 24.13 deg, 3.688 Å, I 50, (1 2 2)



For ZrSc2RuO, a GGA-PBE-relaxed structure gives the simulated XRD peak list in this record (CuKα).
Intensities are scaled so that the largest is 100.

Crystal structure
```
data_ZrSc2RuO
_cell_length_a 4.2402
_cell_length_b 4.2402
_cell_length_c 4.5849
_cell_angle_alpha 90.00
_cell_angle_beta 90.00
_cell_angle_gamma 90.00
_space_group_name_H-M_alt 'P 4/m m m'
_space_group_IT_number 123
_space_group_name_Hall '-P 4 2'
loop_
_atom_site_label
_atom_site_type_symbol
_atom_site_fract_x
_atom_site_fract_y
_atom_site_fract_z
_atom_site_occupancy
Zr1 Zr 0.0000 0.0000 0.0000 1
Sc1 Sc 0.0000 0.5000 0.5000 1
Ru1 Ru 0.5000 0.5000 0.0000 1
O1 O 0.0000 0.0000 0.5000 1
```

Principal peaks in the range 10 to 90 degrees two-theta, most intense first:
- 35.78 deg, 2.509 Å, I 100, (1 1 1)
- 42.65 deg, 2.120 Å, I 38, (2 0 0)
- 59.38 deg, 1.557 Å, I 27, (2 0 2)
- 39.30 deg, 2.292 Å, I 24, (0 0 2)
- 73.60 deg, 1.287 Å, I 23, (3 1 1)
- 29.80 deg, 2.998 Å, I 17, (1 1 0)
- 68.97 deg, 1.362 Å, I 14, (1 1 3)
- 19.36 deg, 4.585 Å, I 12, (0 0 1)



For Cs3Cr20Se32, a GGA-PBE-relaxed structure gives the simulated XRD peak list in this record (CuKα).
Intensities are scaled so that the largest is 100.

Crystal structure
```
data_Cs3Cr20Se32
_cell_length_a 11.0310
_cell_length_b 11.6541
_cell_length_c 11.8028
_cell_angle_alpha 68.77
_cell_angle_beta 81.92
_cell_angle_gamma 62.63
_space_group_name_H-M_alt 'P -1'
_space_group_IT_number 2
loop_
_space_group_symop_operation_xyz
'x,y,z'
'-x,-y,-z'
loop_
_atom_site_label
_atom_site_type_symbol
_atom_site_fract_x
_atom_site_fract_y
_atom_site_fract_z
_atom_site_occupancy
Cs1 Cs 0.0000 0.0000 0.0000 1
Cs2 Cs 0.2772 0.7230 0.2768 1
Cr1 Cr 0.0424 0.6412 0.8784 1
Cr2 Cr 0.0878 0.3216 0.5133 1
Cr3 Cr 0.1252 0.8748 0.6252 1
Cr4 Cr 0.1602 0.4294 0.7369 1
Cr5 Cr 0.2086 0.1087 0.3728 1
Cr6 Cr 0.2929 0.3888 0.1292 1
Cr7 Cr 0.3376 0.0712 0.7641 1
Cr8 Cr 0.3749 0.6252 0.8749 1
Cr9 Cr 0.4102 0.1793 0.9861 1
Cr10 Cr 0.4578 0.8621 0.6222 1
Se1 Se 0.0176 0.1331 0.5197 1
Se2 Se 0.0695 0.1063 0.2268 1
Se3 Se 0.0944 0.2494 0.7401 1
Se4 Se 0.0958 0.3820 0.2740 1
Se5 Se 0.1540 0.3676 0.9759 1
Se6 Se 0.1540 0.4995 0.5113 1
Se7 Se 0.1829 0.6410 0.0255 1
Se8 Se 0.2320 0.6169 0.7304 1
Se9 Se 0.2673 0.8835 0.7704 1
Se10 Se 0.3200 0.8577 0.4789 1
Se11 Se 0.3451 0.1338 0.5240 1
Se12 Se 0.3464 0.9979 0.9910 1
Se13 Se 0.4014 0.2513 0.7598 1
Se14 Se 0.4045 0.1157 0.2258 1
Se15 Se 0.4340 0.3879 0.2750 1
Se16 Se 0.4818 0.3668 0.9801 1
```

Principal peaks in the range 10 to 90 degrees two-theta, most intense first:
- 31.25 deg, 2.862 Å, I 100, (0 3 -1)
- 32.57 deg, 2.749 Å, I 70, (0 0 4)
- 49.60 deg, 1.838 Å, I 56, (6 3 1)
- 30.82 deg, 2.902 Å, I 46, (3 1 -2)
- 33.01 deg, 2.713 Å, I 32, (3 4 1)
- 44.40 deg, 2.040 Å, I 32, (3 4 5)
- 38.80 deg, 2.321 Å, I 29, (-3 2 1)
- 49.67 deg, 1.835 Å, I 27, (3 -1 4)



For YPaRePd, a GGA-PBE-relaxed structure gives the simulated XRD peak list in this record (CuKα).
Intensities are scaled so that the largest is 100.

Crystal structure
```
data_YPaRePd
_cell_length_a 6.9521
_cell_length_b 6.9521
_cell_length_c 6.9521
_cell_angle_alpha 90.00
_cell_angle_beta 90.00
_cell_angle_gamma 90.00
_space_group_name_H-M_alt 'F -4 3 m'
_space_group_IT_number 216
_space_group_name_Hall 'F -4 2 3'
loop_
_atom_site_label
_atom_site_type_symbol
_atom_site_fract_x
_atom_site_fract_y
_atom_site_fract_z
_atom_site_occupancy
Y1 Y 0.0000 0.0000 0.0000 1
Pa1 Pa 0.0000 0.0000 0.5000 1
Re1 Re 0.2500 0.2500 0.2500 1
Pd1 Pd 0.2500 0.2500 0.7500 1
```

Principal peaks in the range 10 to 90 degrees two-theta, most intense first:
- 36.56 deg, 2.458 Å, I 100, (2 2 0)
- 65.81 deg, 1.419 Å, I 36, (4 2 2)
- 52.66 deg, 1.738 Å, I 18, (4 0 0)
- 89.07 deg, 1.099 Å, I 17, (6 2 0)
- 22.15 deg, 4.014 Å, I 15, (1 1 1)
- 77.70 deg, 1.229 Å, I 11, (4 4 0)
- 43.16 deg, 2.096 Å, I 8, (3 1 1)
- 57.81 deg, 1.595 Å, I 4, (3 3 1)



For Pr4Hg2Os, a GGA-PBE-relaxed structure gives the simulated XRD peak list in this record (CuKα).
Intensities are scaled so that the largest is 100.

Crystal structure
```
data_Pr4Hg2Os
_cell_length_a 11.5238
_cell_length_b 4.6925
_cell_length_c 8.9344
_cell_angle_alpha 90.00
_cell_angle_beta 120.13
_cell_angle_gamma 90.00
_space_group_name_H-M_alt 'C 1 2/m 1'
_space_group_IT_number 12
loop_
_space_group_symop_operation_xyz
'x,y,z'
'-x,-y,-z'
'-x,y,-z'
'x,-y,z'
'x+1/2,y+1/2,z'
'-x+1/2,-y+1/2,-z'
'-x+1/2,y+1/2,-z'
'x+1/2,-y+1/2,z'
loop_
_atom_site_label
_atom_site_type_symbol
_atom_site_fract_x
_atom_site_fract_y
_atom_site_fract_z
_atom_site_occupancy
Pr1 Pr 0.0696 0.0000 0.3483 1
Pr2 Pr 0.1693 0.5000 0.0608 1
Hg1 Hg 0.1474 0.5000 0.6669 1
Os1 Os 0.0000 0.0000 0.0000 1
```

Principal peaks in the range 10 to 90 degrees two-theta, most intense first:
- 33.04 deg, 2.711 Å, I 100, (3 1 0)
- 37.00 deg, 2.429 Å, I 61, (3 1 -3)
- 38.36 deg, 2.346 Å, I 53, (0 2 0)
- 30.13 deg, 2.966 Å, I 50, (3 1 -1)
- 34.57 deg, 2.595 Å, I 50, (1 1 2)
- 34.83 deg, 2.576 Å, I 49, (0 0 3)
- 52.78 deg, 1.735 Å, I 44, (0 2 3)
- 27.70 deg, 3.221 Å, I 36, (1 1 -2)



For Pm2HoTm, a GGA-PBE-relaxed structure gives the simulated XRD peak list in this record (CuKα).
Intensities are scaled so that the largest is 100.

Crystal structure
```
data_Pm2HoTm
_cell_length_a 5.0830
_cell_length_b 5.0830
_cell_length_c 5.0076
_cell_angle_alpha 90.00
_cell_angle_beta 90.00
_cell_angle_gamma 90.00
_space_group_name_H-M_alt 'P 4/m m m'
_space_group_IT_number 123
_space_group_name_Hall '-P 4 2'
loop_
_atom_site_label
_atom_site_type_symbol
_atom_site_fract_x
_atom_site_fract_y
_atom_site_fract_z
_atom_site_occupancy
Pm1 Pm 0.0000 0.5000 0.0000 1
Ho1 Ho 0.0000 0.0000 0.5000 1
Tm1 Tm 0.5000 0.5000 0.5000 1
```

Principal peaks in the range 10 to 90 degrees two-theta, most intense first:
- 30.62 deg, 2.920 Å, I 100, (1 1 1)
- 35.32 deg, 2.541 Å, I 34, (2 0 0)
- 60.49 deg, 1.530 Å, I 29, (3 1 1)
- 51.22 deg, 1.784 Å, I 24, (2 0 2)
- 35.87 deg, 2.504 Å, I 16, (0 0 2)
- 61.22 deg, 1.514 Å, I 14, (1 1 3)
- 63.75 deg, 1.460 Å, I 12, (2 2 2)
- 50.81 deg, 1.797 Å, I 12, (2 2 0)



For Dy5Al2Cd2, a GGA-PBE-relaxed structure gives the simulated XRD peak list in this record (CuKα).
Intensities are scaled so that the largest is 100.

Crystal structure
```
data_Dy5Al2Cd2
_cell_length_a 16.5322
_cell_length_b 7.7340
_cell_length_c 7.6605
_cell_angle_alpha 90.00
_cell_angle_beta 90.00
_cell_angle_gamma 90.00
_space_group_name_H-M_alt 'C m c e'
_space_group_IT_number 64
_space_group_name_Hall '-C 2ac 2'
loop_
_atom_site_label
_atom_site_type_symbol
_atom_site_fract_x
_atom_site_fract_y
_atom_site_fract_z
_atom_site_occupancy
Dy1 Dy 0.0000 0.0000 0.0000 1
Dy2 Dy 0.1315 0.1852 0.3220 1
Al1 Al 0.0000 0.1186 0.6190 1
Cd1 Cd 0.2190 0.0000 0.0000 1
```

Principal peaks in the range 10 to 90 degrees two-theta, most intense first:
- 31.68 deg, 2.824 Å, I 100, (4 2 0)
- 31.85 deg, 2.809 Å, I 58, (4 0 2)
- 32.91 deg, 2.721 Å, I 45, (0 2 2)
- 30.69 deg, 2.913 Å, I 40, (3 1 2)
- 33.83 deg, 2.649 Å, I 39, (4 2 1)
- 25.81 deg, 3.452 Å, I 28, (0 2 1)
- 26.52 deg, 3.361 Å, I 27, (1 1 2)
- 37.20 deg, 2.417 Å, I 25, (1 3 1)